(1)
Simulated PXRD pattern
Compound: Ho2Al3Co14
Radiation: Cu Kα, 1.54184 Å
Structure: the PBE geometry in OQMD
Peak positions follow from Bragg's law for the DFT cell and can differ from measured ones.

Top 8 peaks for 10 to 90 degrees two-theta, by angle:
Position (°2θ)	d (Å)	I (rel.)
30.78	2.905	36
33.25	2.694	19
37.46	2.401	50
41.74	2.164	36
43.53	2.079	50
43.81	2.067	100
44.64	2.030	28
81.67	1.179	18

Atomic structure:
Cell lengths 8.3169, 8.3169, 8.1203 Å; angles 90.00, 90.00, 120.00 degrees
Atoms (fractional coordinates):
Ho: 0.0000 0.0000 0.2500
Ho: 0.0000 0.0000 0.7500
Ho: 0.3333 0.6667 0.2500
Ho: 0.6667 0.3333 0.7500
Al: 0.0000 0.5000 0.0000
Al: 0.0000 0.5000 0.5000
Al: 0.5000 0.0000 0.0000
Al: 0.5000 0.0000 0.5000
Al: 0.5000 0.5000 0.0000
Al: 0.5000 0.5000 0.5000
Co: 0.0443 0.3705 0.7500
Co: 0.0443 0.6738 0.7500
Co: 0.1625 0.3250 0.0160
Co: 0.1625 0.3250 0.4840
Co: 0.1625 0.8375 0.0160
Co: 0.1625 0.8375 0.4840
Co: 0.3250 0.1625 0.5160
Co: 0.3250 0.1625 0.9840
Co: 0.3262 0.3705 0.7500
Co: 0.3262 0.9557 0.7500
Co: 0.3333 0.6667 0.6095
Co: 0.3333 0.6667 0.8905
Co: 0.3705 0.0443 0.2500
Co: 0.3705 0.3262 0.2500
Co: 0.6295 0.6738 0.7500
Co: 0.6295 0.9557 0.7500
Co: 0.6667 0.3333 0.1095
Co: 0.6667 0.3333 0.3905
Co: 0.6738 0.0443 0.2500
Co: 0.6738 0.6295 0.2500
Co: 0.6750 0.8375 0.0160
Co: 0.6750 0.8375 0.4840
Co: 0.8375 0.1625 0.5160
Co: 0.8375 0.1625 0.9840
Co: 0.8375 0.6750 0.5160
Co: 0.8375 0.6750 0.9840
Co: 0.9557 0.3262 0.2500
Co: 0.9557 0.6295 0.2500

***

(2)
Simulated PXRD pattern
Compound: HoScAl4Co2
Radiation: Cu Kα, 1.54184 Å
Structure: the PBE geometry in OQMD
Peak positions follow from Bragg's law for the DFT cell and can differ from measured ones.

Top 8 peaks for 10 to 90 degrees two-theta, by angle:
Position (°2θ)	d (Å)	I (rel.)
12.72	6.960	48
24.10	3.693	49
25.60	3.480	49
27.34	3.262	32
35.44	2.533	100
38.38	2.345	100
39.94	2.257	53
45.29	2.002	33

Atomic structure:
Cell lengths 6.9599, 5.1756, 5.1756 Å; angles 45.52, 90.00, 90.00 degrees
Atoms (fractional coordinates):
Ho: 0.0000 0.0000 0.0000
Sc: 0.5000 0.1245 0.1245
Al: 0.2014 0.7157 0.7157
Al: 0.3096 0.4080 0.4080
Al: 0.6904 0.4080 0.4080
Al: 0.7986 0.7157 0.7157
Co: 0.0000 0.2792 0.2792
Co: 0.5000 0.8496 0.8496

***

(3)
Simulated PXRD pattern
Compound: Al2Co4IrPt
Radiation: Cu Kα, 1.54184 Å
Structure: the PBE geometry in OQMD
Peak positions follow from Bragg's law for the DFT cell and can differ from measured ones.

Top 8 peaks for 10 to 90 degrees two-theta, by angle:
Position (°2θ)	d (Å)	I (rel.)
26.26	3.394	38
30.42	2.939	30
43.55	2.078	100
51.57	1.772	19
54.05	1.697	8
63.24	1.470	11
69.74	1.348	8
79.96	1.200	32

Atomic structure:
Cell lengths 4.1587, 4.1587, 5.8708 Å; angles 90.00, 90.00, 90.00 degrees
Atoms (fractional coordinates):
Al: 0.0000 0.5000 0.2473
Al: 0.5000 0.0000 0.7527
Co: 0.0000 0.0000 0.5000
Co: 0.0000 0.5000 0.7554
Co: 0.5000 0.0000 0.2446
Co: 0.5000 0.5000 0.0000
Ir: 0.0000 0.0000 0.0000
Pt: 0.5000 0.5000 0.5000

***

Repeat the third record exactly.
Simulated PXRD pattern
Compound: Al2Co4IrPt
Radiation: Cu Kα, 1.54184 Å
Structure: the PBE geometry in OQMD
Peak positions follow from Bragg's law for the DFT cell and can differ from measured ones.

Top 8 peaks for 10 to 90 degrees two-theta, by angle:
Position (°2θ)	d (Å)	I (rel.)
26.26	3.394	38
30.42	2.939	30
43.55	2.078	100
51.57	1.772	19
54.05	1.697	8
63.24	1.470	11
69.74	1.348	8
79.96	1.200	32

Atomic structure:
Cell lengths 4.1587, 4.1587, 5.8708 Å; angles 90.00, 90.00, 90.00 degrees
Atoms (fractional coordinates):
Al: 0.0000 0.5000 0.2473
Al: 0.5000 0.0000 0.7527
Co: 0.0000 0.0000 0.5000
Co: 0.0000 0.5000 0.7554
Co: 0.5000 0.0000 0.2446
Co: 0.5000 0.5000 0.0000
Ir: 0.0000 0.0000 0.0000
Pt: 0.5000 0.5000 0.5000

***

Number 3 is which compound? Al2Co4IrPt